# 1
# Ce3Pr
Simulated powder diffraction line list, a wavelength of 1.5418 Å. Input: a crystal structure in Alexandria, relaxed with GGA-PBE.
Neutral-atom scattering factors, no anomalous dispersion.

Crystal structure
Unit cell a=3.3898 b=11.4987 c=6.0015 alpha=90.00 beta=90.00 gamma=90.00
Atoms (fractional coordinates):
Ce 0.0000 0.0000 0.0000
Ce 0.0000 0.2663 0.3881
Ce 0.0000 0.7337 0.3881
Ce 0.5000 0.2337 0.8881
Ce 0.5000 0.5000 0.5000
Ce 0.5000 0.7663 0.8881
Pr 0.0000 0.5000 0.9838
Pr 0.5000 0.0000 0.4838

Peak list (10 most intense, 2θ = 10–90°, in order of rising 2θ)
29.77°, d = 3.001 Å, rel. 26
31.11°, d = 2.875 Å, rel. 34
33.69°, d = 2.660 Å, rel. 21
34.15°, d = 2.626 Å, rel. 100
43.60°, d = 2.076 Å, rel. 17
53.16°, d = 1.723 Å, rel. 11
55.70°, d = 1.650 Å, rel. 8
57.32°, d = 1.607 Å, rel. 21
62.89°, d = 1.478 Å, rel. 13
63.74°, d = 1.460 Å, rel. 9

=====

# 2
# CePr3
Simulated powder diffraction line list, a wavelength of 1.5418 Å. Input: a crystal structure in Alexandria, relaxed with GGA-PBE.
Neutral-atom scattering factors, no anomalous dispersion.

Crystal structure
Unit cell a=3.6598 b=11.9938 c=6.4081 alpha=90.00 beta=90.00 gamma=90.00
Atoms (fractional coordinates):
Ce 0.0000 0.0000 0.0000
Ce 0.5000 0.5000 0.5000
Pr 0.0000 0.2519 0.6703
Pr 0.0000 0.5000 0.9979
Pr 0.0000 0.7481 0.6703
Pr 0.5000 0.0000 0.4979
Pr 0.5000 0.2481 0.1703
Pr 0.5000 0.7519 0.1703

Peak list (10 most intense, 2θ = 10–90°, in order of rising 2θ)
28.08°, d = 3.178 Å, rel. 25
29.80°, d = 2.998 Å, rel. 40
31.66°, d = 2.826 Å, rel. 53
31.87°, d = 2.808 Å, rel. 100
41.40°, d = 2.181 Å, rel. 17
49.40°, d = 1.845 Å, rel. 20
54.07°, d = 1.696 Å, rel. 12
54.21°, d = 1.692 Å, rel. 22
58.77°, d = 1.571 Å, rel. 24
60.25°, d = 1.536 Å, rel. 17

=====

# 3
# Ce3PrPt4
Simulated powder diffraction line list, a wavelength of 1.5418 Å. Input: a crystal structure in Alexandria, relaxed with GGA-PBE.
Neutral-atom scattering factors, no anomalous dispersion.

Crystal structure
Unit cell a=7.2155 b=8.3171 c=7.1982 alpha=90.00 beta=109.48 gamma=90.00
Atoms (fractional coordinates):
Ce 0.0000 0.1246 0.2500
Ce 0.0000 0.3746 0.7500
Ce 0.0000 0.6254 0.2500
Ce 0.0000 0.8754 0.7500
Ce 0.5000 0.1247 0.7500
Ce 0.5000 0.8753 0.2500
Pr 0.5000 0.3748 0.2500
Pr 0.5000 0.6252 0.7500
Pt 0.2400 0.3697 0.5005
Pt 0.2400 0.6303 0.0005
Pt 0.2463 0.1200 0.9948
Pt 0.2463 0.8800 0.4948
Pt 0.7537 0.1200 0.5052
Pt 0.7537 0.8800 0.0052
Pt 0.7600 0.3697 0.9995
Pt 0.7600 0.6303 0.4995

Peak list (10 most intense, 2θ = 10–90°, in order of rising 2θ)
26.24°, d = 3.397 Å, rel. 4
30.39°, d = 2.942 Å, rel. 100
43.51°, d = 2.080 Å, rel. 75
53.97°, d = 1.699 Å, rel. 20
54.05°, d = 1.697 Å, rel. 7
63.22°, d = 1.471 Å, rel. 12
71.72°, d = 1.316 Å, rel. 23
71.80°, d = 1.315 Å, rel. 11
79.77°, d = 1.202 Å, rel. 6
79.90°, d = 1.201 Å, rel. 17

=====

# 4
# CePrPt3
Simulated powder diffraction line list, a wavelength of 1.5418 Å. Input: a crystal structure in Alexandria, relaxed with GGA-PBE.
Neutral-atom scattering factors, no anomalous dispersion.

Crystal structure
Unit cell a=7.1693 b=7.9253 c=7.8766 alpha=90.00 beta=90.00 gamma=90.00
Atoms (fractional coordinates):
Ce 0.2146 0.1365 0.0000
Ce 0.2854 0.6365 0.5000
Ce 0.7146 0.3635 0.5000
Ce 0.7854 0.8635 0.0000
Pr 0.2107 0.1386 0.5000
Pr 0.2893 0.6386 0.0000
Pr 0.7107 0.3614 0.0000
Pr 0.7893 0.8614 0.5000
Pt 0.0000 0.5000 0.2652
Pt 0.0000 0.5000 0.7348
Pt 0.1191 0.8566 0.2500
Pt 0.1191 0.8566 0.7500
Pt 0.3809 0.3566 0.2500
Pt 0.3809 0.3566 0.7500
Pt 0.5000 0.0000 0.2348
Pt 0.5000 0.0000 0.7652
Pt 0.6191 0.6434 0.2500
Pt 0.6191 0.6434 0.7500
Pt 0.8809 0.1434 0.2500
Pt 0.8809 0.1434 0.7500

Peak list (10 most intense, 2θ = 10–90°, in order of rising 2θ)
22.58°, d = 3.938 Å, rel. 22
33.79°, d = 2.652 Å, rel. 52
34.46°, d = 2.603 Å, rel. 100
35.71°, d = 2.514 Å, rel. 52
36.24°, d = 2.479 Å, rel. 40
39.38°, d = 2.288 Å, rel. 27
43.12°, d = 2.098 Å, rel. 30
44.26°, d = 2.046 Å, rel. 24
46.10°, d = 1.969 Å, rel. 29
75.49°, d = 1.259 Å, rel. 18

=====

# 5
# Ce2PrRuPt
Simulated powder diffraction line list, a wavelength of 1.5418 Å. Input: a crystal structure in Alexandria, relaxed with GGA-PBE.
Neutral-atom scattering factors, no anomalous dispersion.

Crystal structure
Unit cell a=5.0926 b=5.0926 c=5.9759 alpha=90.00 beta=90.00 gamma=90.00
Atoms (fractional coordinates):
Ce 0.0000 0.5000 0.0000
Ce 0.5000 0.0000 0.0000
Pr 0.0000 0.0000 0.5656
Ru 0.0000 0.0000 0.0835
Pt 0.5000 0.5000 0.7387

Peak list (10 most intense, 2θ = 10–90°, in order of rising 2θ)
14.82°, d = 5.976 Å, rel. 72
22.94°, d = 3.876 Å, rel. 41
28.95°, d = 3.084 Å, rel. 98
34.81°, d = 2.577 Å, rel. 57
35.25°, d = 2.546 Å, rel. 100
38.43°, d = 2.343 Å, rel. 27
39.18°, d = 2.299 Å, rel. 44
50.38°, d = 1.811 Å, rel. 40
50.70°, d = 1.801 Å, rel. 36
59.44°, d = 1.555 Å, rel. 26

=====

# 6
# CePrRuPt
Simulated powder diffraction line list, a wavelength of 1.5418 Å. Input: a crystal structure in Alexandria, relaxed with GGA-PBE.
Neutral-atom scattering factors, no anomalous dispersion.

Crystal structure
Unit cell a=4.0831 b=3.9169 c=11.6161 alpha=90.00 beta=90.00 gamma=90.00
Atoms (fractional coordinates):
Ce 0.0000 0.0000 0.0000
Ce 0.0000 0.5000 0.5000
Pr 0.5000 0.0000 0.2790
Pr 0.5000 0.5000 0.7790
Ru 0.5000 0.0000 0.5343
Ru 0.5000 0.5000 0.0343
Pt 0.0000 0.0000 0.7123
Pt 0.0000 0.5000 0.2123

Peak list (10 most intense, 2θ = 10–90°, in order of rising 2θ)
30.79°, d = 2.904 Å, rel. 30
32.59°, d = 2.748 Å, rel. 100
38.02°, d = 2.367 Å, rel. 22
39.47°, d = 2.283 Å, rel. 62
44.37°, d = 2.042 Å, rel. 20
46.36°, d = 1.958 Å, rel. 18
54.98°, d = 1.670 Å, rel. 12
60.60°, d = 1.528 Å, rel. 12
66.11°, d = 1.413 Å, rel. 12
78.13°, d = 1.223 Å, rel. 11

=====

# 7
# CePr3Pu2Se6
Simulated powder diffraction line list, a wavelength of 1.5418 Å. Input: a crystal structure in Alexandria, relaxed with GGA-PBE.
Neutral-atom scattering factors, no anomalous dispersion.

Crystal structure
Unit cell a=7.2823 b=7.2823 c=7.3412 alpha=99.51 beta=99.51 gamma=120.00
Atoms (fractional coordinates):
Ce 0.0000 0.0000 0.0000
Pr 0.1663 0.8337 0.5000
Pr 0.5000 0.5000 0.5000
Pr 0.8337 0.1663 0.5000
Pu 0.3330 0.6670 0.0000
Pu 0.6670 0.3330 0.0000
Se 0.0806 0.4168 0.2414
Se 0.2561 0.2561 0.7591
Se 0.4168 0.0806 0.2414
Se 0.5832 0.9194 0.7586
Se 0.7439 0.7439 0.2409
Se 0.9194 0.5832 0.7586

Peak list (10 most intense, 2θ = 10–90°, in order of rising 2θ)
25.71°, d = 3.465 Å, rel. 7
25.93°, d = 3.436 Å, rel. 19
29.97°, d = 2.982 Å, rel. 100
42.75°, d = 2.115 Å, rel. 38
43.03°, d = 2.102 Å, rel. 37
53.32°, d = 1.718 Å, rel. 20
62.27°, d = 1.491 Å, rel. 12
70.43°, d = 1.337 Å, rel. 11
70.83°, d = 1.330 Å, rel. 17
78.68°, d = 1.216 Å, rel. 13

=====

# 8
# CePrRh2
Simulated powder diffraction line list, a wavelength of 1.5418 Å. Input: a crystal structure in Alexandria, relaxed with GGA-PBE.
Neutral-atom scattering factors, no anomalous dispersion.

Crystal structure
Unit cell a=5.6993 b=5.7380 c=11.4930 alpha=90.00 beta=105.45 gamma=90.00
Atoms (fractional coordinates):
Ce 0.1924 0.1282 0.1364
Ce 0.1924 0.8718 0.6364
Ce 0.8076 0.1282 0.3636
Ce 0.8076 0.8718 0.8636
Pr 0.3060 0.3709 0.8575
Pr 0.3060 0.6291 0.3575
Pr 0.6940 0.3709 0.6425
Pr 0.6940 0.6291 0.1425
Rh 0.1619 0.3503 0.5834
Rh 0.1619 0.6497 0.0834
Rh 0.3346 0.1265 0.3985
Rh 0.3346 0.8735 0.8985
Rh 0.6654 0.1265 0.1015
Rh 0.6654 0.8735 0.6015
Rh 0.8381 0.3503 0.9166
Rh 0.8381 0.6497 0.4166

Peak list (10 most intense, 2θ = 10–90°, in order of rising 2θ)
32.28°, d = 2.774 Å, rel. 100
32.60°, d = 2.747 Å, rel. 19
36.28°, d = 2.476 Å, rel. 10
39.58°, d = 2.277 Å, rel. 13
39.79°, d = 2.266 Å, rel. 26
40.35°, d = 2.235 Å, rel. 13
44.83°, d = 2.022 Å, rel. 38
55.95°, d = 1.643 Å, rel. 14
56.74°, d = 1.622 Å, rel. 12
74.48°, d = 1.274 Å, rel. 9

=====

# 9
# Ce2Pr3Ru2
Simulated powder diffraction line list, a wavelength of 1.5418 Å. Input: a crystal structure in Alexandria, relaxed with GGA-PBE.
Neutral-atom scattering factors, no anomalous dispersion.

Crystal structure
Unit cell a=3.8557 b=6.4756 c=8.8594 alpha=108.93 beta=90.04 gamma=107.31
Atoms (fractional coordinates):
Ce 0.1734 0.3476 0.3087
Ce 0.8266 0.6524 0.6913
Pr 0.3776 0.7542 0.0736
Pr 0.5000 0.0000 0.5000
Pr 0.6224 0.2458 0.9264
Ru 0.1948 0.3900 0.6952
Ru 0.8052 0.6100 0.3048

Peak list (10 most intense, 2θ = 10–90°, in order of rising 2θ)
28.89°, d = 3.091 Å, rel. 31
30.35°, d = 2.945 Å, rel. 67
30.59°, d = 2.922 Å, rel. 76
30.75°, d = 2.908 Å, rel. 30
31.92°, d = 2.804 Å, rel. 100
32.76°, d = 2.733 Å, rel. 38
34.30°, d = 2.614 Å, rel. 58
34.66°, d = 2.588 Å, rel. 39
38.54°, d = 2.336 Å, rel. 32
47.15°, d = 1.927 Å, rel. 46

=====

# 10
# CePrRu2
Simulated powder diffraction line list, a wavelength of 1.5418 Å. Input: a crystal structure in Alexandria, relaxed with GGA-PBE.
Neutral-atom scattering factors, no anomalous dispersion.

Crystal structure
Unit cell a=6.1525 b=6.1920 c=10.3694 alpha=90.00 beta=111.31 gamma=90.00
Atoms (fractional coordinates):
Ce 0.1838 0.1319 0.1536
Ce 0.1838 0.8681 0.6536
Ce 0.8162 0.1319 0.3464
Ce 0.8162 0.8681 0.8464
Pr 0.3080 0.3682 0.8493
Pr 0.3080 0.6318 0.3493
Pr 0.6920 0.3682 0.6507
Pr 0.6920 0.6318 0.1507
Ru 0.1243 0.3285 0.5416
Ru 0.1243 0.6715 0.0416
Ru 0.3482 0.1147 0.3942
Ru 0.3482 0.8853 0.8942
Ru 0.6518 0.1147 0.1058
Ru 0.6518 0.8853 0.6058
Ru 0.8757 0.3285 0.9584
Ru 0.8757 0.6715 0.4584

Peak list (10 most intense, 2θ = 10–90°, in order of rising 2θ)
29.92°, d = 2.987 Å, rel. 80
30.12°, d = 2.967 Å, rel. 22
30.32°, d = 2.948 Å, rel. 100
31.21°, d = 2.866 Å, rel. 25
31.71°, d = 2.821 Å, rel. 21
37.68°, d = 2.387 Å, rel. 23
39.51°, d = 2.281 Å, rel. 39
40.42°, d = 2.232 Å, rel. 24
41.43°, d = 2.179 Å, rel. 89
68.28°, d = 1.374 Å, rel. 30

=====

# 11
# CePr3S6
Simulated powder diffraction line list, a wavelength of 1.5418 Å. Input: a crystal structure in Alexandria, relaxed with GGA-PBE.
Neutral-atom scattering factors, no anomalous dispersion.

Crystal structure
Unit cell a=8.3165 b=8.3165 c=8.3165 alpha=99.26 beta=99.26 gamma=99.26
Atoms (fractional coordinates):
Ce 0.0000 0.0000 0.0000
Ce 0.5000 0.5000 0.5000
Pr 0.1125 0.6222 0.2864
Pr 0.2864 0.1125 0.6222
Pr 0.3778 0.7136 0.8874
Pr 0.6222 0.2864 0.1126
Pr 0.7136 0.8874 0.3778
Pr 0.8874 0.3778 0.7136
S 0.0525 0.6768 0.9376
S 0.0624 0.9475 0.3232
S 0.1841 0.4254 0.5695
S 0.3232 0.0624 0.9475
S 0.4254 0.5695 0.1841
S 0.4305 0.8159 0.5746
S 0.5695 0.1841 0.4254
S 0.5746 0.4305 0.8159
S 0.6768 0.9376 0.0525
S 0.8159 0.5746 0.4305
S 0.9376 0.0525 0.6768
S 0.9475 0.3232 0.0624

Peak list (10 most intense, 2θ = 10–90°, in order of rising 2θ)
16.99°, d = 5.218 Å, rel. 29
22.48°, d = 3.955 Å, rel. 41
22.71°, d = 3.915 Å, rel. 100
26.22°, d = 3.399 Å, rel. 51
30.32°, d = 2.948 Å, rel. 22
33.08°, d = 2.708 Å, rel. 44
37.27°, d = 2.413 Å, rel. 81
37.56°, d = 2.395 Å, rel. 58
46.38°, d = 1.958 Å, rel. 27
48.68°, d = 1.871 Å, rel. 24

=====

# 12
# CePrS3
Simulated powder diffraction line list, a wavelength of 1.5418 Å. Input: a crystal structure in Alexandria, relaxed with GGA-PBE.
Neutral-atom scattering factors, no anomalous dispersion.

Crystal structure
Unit cell a=4.0532 b=6.8562 c=8.8212 alpha=90.00 beta=90.00 gamma=90.00
Atoms (fractional coordinates):
Ce 0.2500 0.2500 0.1038
Ce 0.7500 0.7500 0.8962
Pr 0.2500 0.7500 0.3494
Pr 0.7500 0.2500 0.6506
S 0.2500 0.0222 0.8296
S 0.2500 0.2500 0.4313
S 0.2500 0.4778 0.8296
S 0.7500 0.5222 0.1704
S 0.7500 0.7500 0.5687
S 0.7500 0.9778 0.1704

Peak list (10 most intense, 2θ = 10–90°, in order of rising 2θ)
23.99°, d = 3.709 Å, rel. 100
24.16°, d = 3.683 Å, rel. 42
25.99°, d = 3.428 Å, rel. 46
27.49°, d = 3.245 Å, rel. 72
35.78°, d = 2.509 Å, rel. 94
37.80°, d = 2.380 Å, rel. 24
40.10°, d = 2.248 Å, rel. 41
44.69°, d = 2.028 Å, rel. 49
46.45°, d = 1.955 Å, rel. 24
51.38°, d = 1.778 Å, rel. 26